Entry 1:
Diffraction record for Cs2LiTcF6. The powder XRD pattern is computed, not measured: it uses a structure optimized by DFT (GGA-PBE) and copper Kα.
Lines closer than 0.1° are merged.

Peak list (10 most intense, 5 to 70 degrees two-theta, sorted by position)
| two_theta | I (rel.) |
| --- | --- |
| 18.53 | 32 |
| 21.44 | 28 |
| 30.45 | 100 |
| 30.56 | 99 |
| 37.64 | 39 |
| 43.69 | 79 |
| 54.05 | 20 |
| 54.27 | 53 |
| 63.38 | 24 |
| 63.62 | 24 |

Cell: 5.849 5.849 5.865 Å, 119.82 119.82 60.02°
Atoms (fractional coordinates):
Cs  0.250  0.250  0.249
Cs  0.750  0.750  0.751
Li  0.000  0.000  0.500
Tc  0.500  0.500  0.000
F  0.253  0.253  0.752
F  0.253  0.746  0.247
F  0.254  0.747  0.753
F  0.746  0.253  0.247
F  0.747  0.254  0.753
F  0.747  0.747  0.248

=====

Entry 2:
Diffraction record for Cs2LiTcF6. The powder XRD pattern is computed, not measured: it uses a structure optimized by DFT (GGA-PBE) and copper Kα.
Lines closer than 0.1° are merged.

Peak list (10 most intense, 5 to 70 degrees two-theta, sorted by position)
| two_theta | I (rel.) |
| --- | --- |
| 18.56 | 32 |
| 21.40 | 14 |
| 30.44 | 51 |
| 30.59 | 100 |
| 37.63 | 39 |
| 43.59 | 40 |
| 44.01 | 20 |
| 54.19 | 40 |
| 54.46 | 20 |
| 63.67 | 24 |

Cell: 5.846 5.846 5.846 Å, 119.70 119.70 90.52°
Atoms (fractional coordinates):
Cs  0.250  0.750  0.500
Cs  0.750  0.250  0.500
Li  0.000  0.000  0.000
Tc  0.500  0.500  0.000
F  0.252  0.252  0.504
F  0.252  0.748  0.000
F  0.255  0.255  0.000
F  0.745  0.745  0.000
F  0.748  0.252  0.000
F  0.748  0.748  0.496

=====

Entry 3:
Diffraction record for CsLu3F10. The powder XRD pattern is computed, not measured: it uses a structure optimized by DFT (GGA-PBE) and copper Kα.
Lines closer than 0.1° are merged.

Peak list (10 most intense, 5 to 70 degrees two-theta, sorted by position)
| two_theta | I (rel.) |
| --- | --- |
| 21.32 | 31 |
| 25.18 | 46 |
| 26.65 | 100 |
| 31.58 | 27 |
| 34.38 | 20 |
| 41.78 | 18 |
| 46.17 | 16 |
| 47.05 | 31 |
| 51.69 | 33 |
| 65.95 | 18 |

Cell: 7.725 7.725 4.167 Å, 90.03 90.03 60.03°
Atoms (fractional coordinates):
Cs  0.000  0.000  0.000
Lu  0.510  0.510  0.557
Lu  0.510  0.978  0.556
Lu  0.978  0.510  0.556
F  0.002  0.497  0.058
F  0.212  0.573  0.580
F  0.213  0.213  0.578
F  0.330  0.834  0.481
F  0.497  0.002  0.058
F  0.498  0.498  0.059
F  0.573  0.212  0.580
F  0.666  0.666  0.714
F  0.834  0.330  0.481
F  0.834  0.834  0.478

=====

Entry 4:
Diffraction record for Cs2NaPtOF5. The powder XRD pattern is computed, not measured: it uses a structure optimized by DFT (GGA-PBE) and copper Kα.
Lines closer than 0.1° are merged.

Peak list (10 most intense, 5 to 70 degrees two-theta, sorted by position)
| two_theta | I (rel.) |
| --- | --- |
| 17.79 | 55 |
| 29.13 | 50 |
| 29.31 | 100 |
| 34.34 | 17 |
| 41.66 | 34 |
| 42.20 | 16 |
| 51.75 | 41 |
| 52.09 | 20 |
| 60.80 | 21 |
| 68.48 | 19 |

Cell: 6.095 6.095 6.095 Å, 119.60 119.60 90.70°
Atoms (fractional coordinates):
Cs  0.000  0.500  0.500
Cs  0.500  0.000  0.500
Na  0.240  0.240  0.000
Pt  0.754  0.754  0.000
O  0.982  0.982  0.000
F  0.505  0.505  0.000
F  0.523  0.523  0.542
F  0.523  0.981  0.000
F  0.981  0.523  0.000
F  0.981  0.981  0.458

=====

Entry 5:
Diffraction record for Cs2NaReOF5. The powder XRD pattern is computed, not measured: it uses a structure optimized by DFT (GGA-PBE) and copper Kα.
Lines closer than 0.1° are merged.

Peak list (10 most intense, 5 to 70 degrees two-theta, sorted by position)
| two_theta | I (rel.) |
| --- | --- |
| 17.74 | 52 |
| 29.04 | 50 |
| 29.24 | 100 |
| 34.24 | 17 |
| 41.53 | 34 |
| 42.13 | 16 |
| 51.60 | 41 |
| 51.98 | 19 |
| 60.18 | 11 |
| 60.64 | 21 |

Cell: 6.109 6.109 6.109 Å, 119.55 119.55 90.78°
Atoms (fractional coordinates):
Cs  0.000  0.500  0.500
Cs  0.500  0.000  0.500
Na  0.244  0.244  0.000
Re  0.759  0.759  0.000
O  0.977  0.977  0.000
F  0.510  0.510  0.000
F  0.517  0.517  0.535
F  0.517  0.982  0.000
F  0.982  0.517  0.000
F  0.982  0.982  0.465

=====

Entry 6:
Diffraction record for Cs2NaSmF6. The powder XRD pattern is computed, not measured: it uses a structure optimized by DFT (GGA-PBE) and copper Kα.
Lines closer than 0.1° are merged.

Peak list (10 most intense, 5 to 70 degrees two-theta, sorted by position)
| two_theta | I (rel.) |
| --- | --- |
| 17.20 | 22 |
| 28.27 | 100 |
| 33.28 | 13 |
| 34.80 | 10 |
| 40.40 | 37 |
| 44.21 | 6 |
| 50.04 | 42 |
| 53.31 | 5 |
| 58.47 | 23 |
| 66.19 | 18 |

Cell: 6.314 6.314 6.314 Å, 60.00 60.00 60.00°
Atoms (fractional coordinates):
Cs  0.250  0.250  0.250
Cs  0.750  0.750  0.750
Na  0.000  0.000  0.000
Sm  0.500  0.500  0.500
F  0.251  0.251  0.749
F  0.251  0.749  0.251
F  0.251  0.749  0.749
F  0.749  0.251  0.251
F  0.749  0.251  0.749
F  0.749  0.749  0.251

=====

Entry 7:
Diffraction record for Cs2NaTbF6. The powder XRD pattern is computed, not measured: it uses a structure optimized by DFT (GGA-PBE) and copper Kα.
Lines closer than 0.1° are merged.

Peak list (10 most intense, 5 to 70 degrees two-theta, sorted by position)
| two_theta | I (rel.) |
| --- | --- |
| 17.32 | 25 |
| 28.48 | 100 |
| 33.52 | 14 |
| 35.06 | 9 |
| 40.71 | 36 |
| 44.55 | 6 |
| 50.43 | 41 |
| 53.72 | 5 |
| 58.93 | 23 |
| 66.73 | 18 |

Cell: 6.269 6.269 6.269 Å, 60.00 60.00 60.00°
Atoms (fractional coordinates):
Cs  0.250  0.250  0.250
Cs  0.750  0.750  0.750
Na  0.000  0.000  0.000
Tb  0.500  0.500  0.500
F  0.254  0.254  0.746
F  0.254  0.746  0.254
F  0.254  0.746  0.746
F  0.746  0.254  0.254
F  0.746  0.254  0.746
F  0.746  0.746  0.254

=====

Entry 8:
Diffraction record for Cs2NaTcF6. The powder XRD pattern is computed, not measured: it uses a structure optimized by DFT (GGA-PBE) and copper Kα.
Lines closer than 0.1° are merged.

Peak list (10 most intense, 5 to 70 degrees two-theta, sorted by position)
| two_theta | I (rel.) |
| --- | --- |
| 18.05 | 21 |
| 29.60 | 100 |
| 29.86 | 49 |
| 36.57 | 30 |
| 41.99 | 20 |
| 42.73 | 37 |
| 52.37 | 20 |
| 52.84 | 39 |
| 61.46 | 23 |
| 62.02 | 11 |

Cell: 6.036 6.036 6.036 Å, 120.55 120.55 89.04°
Atoms (fractional coordinates):
Cs  0.250  0.750  0.500
Cs  0.750  0.250  0.500
Na  0.000  0.000  0.000
Tc  0.500  0.500  0.000
F  0.259  0.737  0.996
F  0.261  0.261  0.000
F  0.263  0.259  0.523
F  0.737  0.741  0.477
F  0.739  0.739  0.000
F  0.741  0.263  0.004

=====

- What is the formula in the third record?
  CsLu3F10